Record 1
Computed X-ray diffraction stick pattern of CePaNiO6 for CuKα, from a cell relaxed with PBE+U.
Intensities are scaled so that the largest is 100.

Structure:
```
data_CePaNiO6
_space_group_name_H-M_alt 'P 3 1 2'
_space_group_IT_number 149
_space_group_name_Hall 'P 3 2'
_cell_length_a 5.3934
_cell_length_b 5.3934
_cell_length_c 4.8771
_cell_angle_alpha 90.00
_cell_angle_beta 90.00
_cell_angle_gamma 120.00
loop_
_atom_site_label
_atom_site_fract_x
_atom_site_fract_y
_atom_site_fract_z
Ce1 0.0000 0.0000 0.0000
Pa1 0.6667 0.3333 0.5000
Ni1 0.3333 0.6667 0.0000
O1 0.0124 0.3633 0.2365
```

The 8 most intense peaks (10° ≤ 2θ ≤ 80°), sorted by position:
d/Å, 2θ/deg, I (rel.)
4.671, 19.0, 17
3.373, 26.4, 100
2.697, 33.2, 36
2.106, 42.9, 28
1.809, 50.5, 35
1.660, 55.3, 27
1.557, 59.4, 12
1.252, 76.0, 11

Record 2
Computed X-ray diffraction stick pattern of CeNiS2O8 for CuKα, from a cell relaxed with PBE+U.
Intensities are scaled so that the largest is 100.

Structure:
```
data_CeNiS2O8
_space_group_name_H-M_alt 'P -3 m 1'
_space_group_IT_number 164
_space_group_name_Hall '-P 3 2"'
_cell_length_a 5.1783
_cell_length_b 5.1783
_cell_length_c 7.0837
_cell_angle_alpha 90.00
_cell_angle_beta 90.00
_cell_angle_gamma 120.00
loop_
_atom_site_label
_atom_site_fract_x
_atom_site_fract_y
_atom_site_fract_z
Ce1 0.0000 0.0000 0.0000
Ni1 0.0000 0.0000 0.5000
S1 0.3333 0.6667 0.2273
O1 0.1757 0.3513 0.2924
O2 0.3333 0.6667 0.0152
```

The 8 most intense peaks (10° ≤ 2θ ≤ 80°), sorted by position:
d/Å, 2θ/deg, I (rel.)
7.084, 12.5, 29
4.485, 19.8, 100
3.789, 23.5, 59
2.779, 32.2, 100
2.589, 34.6, 68
2.090, 43.3, 50
1.895, 48.0, 51
1.529, 60.6, 29